Record 1
Diffraction record for Rb2LaI6. The powder XRD pattern is calculated, not measured: it uses a cell relaxed with GGA-PBE and Cu Kα X-rays.

Crystal structure
```
Rb2LaI6
1.0
4.9876 0.0000 0.0000
0.0000 8.3140 4.7391
0.0000 -8.3140 4.7391
Rb La I
2 1 6
direct
0.0000 0.1683 0.8317 Rb
0.0000 0.8317 0.1683 Rb
0.5000 0.5057 0.5057 La
0.0000 0.2665 0.5013 I
0.0000 0.5013 0.2665 I
0.0000 0.7433 0.7433 I
0.5000 0.1462 0.1462 I
0.5000 0.4994 0.8604 I
0.5000 0.8604 0.4994 I
```

Main lines, in order of rising 2θ (2θ = 15–90°):
| 2θ (°) | I_rel |
| --- | --- |
| 25.80 | 100.0 |
| 25.93 | 54.5 |
| 27.94 | 23.7 |
| 28.10 | 46.4 |
| 32.62 | 47.9 |
| 33.75 | 30.8 |
| 33.85 | 25.5 |
| 34.02 | 27.9 |
| 36.01 | 38.5 |
| 49.38 | 29.3 |


Record 2
Diffraction record for CaPr5Sm6. The powder XRD pattern is calculated, not measured: it uses a cell relaxed with GGA-PBE and Cu Kα X-rays.

Crystal structure
```
CaPr5Sm6
1.0
6.1083 -5.5258 0.0000
6.1083 5.5258 0.0000
-1.1088 0.0000 6.2809
Ca Pr Sm
1 5 6
direct
0.0000 0.0000 0.0000 Ca
0.1696 0.8304 0.5000 Pr
0.3369 0.6631 0.0000 Pr
0.5000 0.5000 0.5000 Pr
0.6631 0.3369 0.0000 Pr
0.8304 0.1696 0.5000 Pr
0.0843 0.4228 0.2538 Sm
0.2521 0.2521 0.7455 Sm
0.4228 0.0843 0.2538 Sm
0.5772 0.9157 0.7462 Sm
0.7479 0.7479 0.2545 Sm
0.9157 0.5772 0.7462 Sm
```

Main lines, in order of rising 2θ (2θ = 15–90°):
| 2θ (°) | I_rel |
| --- | --- |
| 16.78 | 0.8 |
| 29.71 | 100.0 |
| 34.43 | 50.7 |
| 49.49 | 36.2 |
| 58.79 | 39.4 |
| 58.81 | 3.6 |
| 61.69 | 12.4 |
| 72.60 | 5.7 |
| 80.35 | 17.3 |
| 82.89 | 16.0 |


Record 3
Diffraction record for DyGe2Ru. The powder XRD pattern is calculated, not measured: it uses a cell relaxed with GGA-PBE and Cu Kα X-rays.

Crystal structure
```
DyGe2Ru
1.0
-2.1180 4.5413 7.9751
2.1180 -4.5413 7.9751
2.1180 4.5413 -7.9751
Dy Ge Ru
4 8 4
direct
0.2087 0.2087 0.0000 Dy
0.2417 0.0000 0.2417 Dy
0.7583 0.0000 0.7583 Dy
0.7913 0.7913 0.0000 Dy
0.0785 0.5785 0.5000 Ge
0.1420 0.7998 0.3421 Ge
0.4191 0.4191 0.0000 Ge
0.4577 0.7998 0.6579 Ge
0.5423 0.2002 0.3421 Ge
0.5809 0.5809 0.0000 Ge
0.8580 0.2002 0.6579 Ge
0.9215 0.4215 0.5000 Ge
0.1081 0.3575 0.7506 Ru
0.3931 0.6425 0.7506 Ru
0.6069 0.3575 0.2494 Ru
0.8919 0.6425 0.2494 Ru
```

Main lines, in order of rising 2θ (2θ = 15–90°):
| 2θ (°) | I_rel |
| --- | --- |
| 33.48 | 99.7 |
| 35.22 | 100.0 |
| 38.24 | 32.4 |
| 39.27 | 38.1 |
| 39.69 | 29.1 |
| 42.69 | 49.7 |
| 54.10 | 20.8 |
| 59.39 | 22.4 |
| 59.69 | 22.5 |
| 68.10 | 23.6 |


Record 4
Diffraction record for Sr2CaCu3O6. The powder XRD pattern is calculated, not measured: it uses a cell relaxed with GGA-PBE and Cu Kα X-rays.

Crystal structure
```
Sr2CaCu3O6
1.0
3.7929 0.0000 0.0000
0.0000 3.7929 0.0000
0.0000 0.0000 11.8257
Sr Ca Cu O
2 1 3 6
direct
0.0000 0.0000 0.2054 Sr
0.0000 0.0000 0.7946 Sr
0.0000 0.0000 0.5000 Ca
0.5000 0.5000 0.0000 Cu
0.5000 0.5000 0.3564 Cu
0.5000 0.5000 0.6436 Cu
0.0000 0.5000 0.3656 O
0.0000 0.5000 0.6344 O
0.5000 0.0000 0.3656 O
0.5000 0.0000 0.6344 O
0.5000 0.5000 0.1515 O
0.5000 0.5000 0.8485 O
```

Main lines, in order of rising 2θ (2θ = 15–90°):
| 2θ (°) | I_rel |
| --- | --- |
| 27.95 | 23.4 |
| 32.77 | 100.0 |
| 33.41 | 64.7 |
| 38.05 | 9.9 |
| 38.61 | 22.0 |
| 47.97 | 39.0 |
| 51.52 | 9.9 |
| 59.31 | 34.9 |
| 70.18 | 11.1 |
| 79.99 | 9.8 |


Record 5
Diffraction record for Ag4S12I. The powder XRD pattern is calculated, not measured: it uses a cell relaxed with GGA-PBE and Cu Kα X-rays.

Crystal structure
```
Ag4S12I
1.0
5.8625 0.0000 0.0000
-2.8624 8.5819 0.0000
-2.4400 -3.8150 10.7598
Ag S I
4 12 1
direct
0.0000 0.0000 0.0000 Ag
0.0000 0.0000 0.5000 Ag
0.0000 0.5000 0.0000 Ag
0.0000 0.5000 0.5000 Ag
0.0625 0.3353 0.2422 S
0.0806 0.2364 0.9170 S
0.1852 0.2952 0.5193 S
0.2226 0.8785 0.8686 S
0.3204 0.2909 0.3699 S
0.3593 0.4298 0.0577 S
0.6407 0.5702 0.9423 S
0.6796 0.7091 0.6301 S
0.7774 0.1215 0.1314 S
0.8148 0.7048 0.4807 S
0.9194 0.7636 0.0830 S
0.9375 0.6647 0.7578 S
0.5000 0.0000 0.5000 I
```

Main lines, in order of rising 2θ (2θ = 15–90°):
| 2θ (°) | I_rel |
| --- | --- |
| 15.75 | 14.0 |
| 16.48 | 100.0 |
| 16.77 | 39.1 |
| 21.98 | 19.2 |
| 22.67 | 41.1 |
| 31.81 | 15.7 |
| 32.51 | 17.6 |
| 33.29 | 24.4 |
| 35.14 | 17.8 |
| 38.12 | 12.0 |


Record 6
Diffraction record for NiSnRh4. The powder XRD pattern is calculated, not measured: it uses a cell relaxed with GGA-PBE and Cu Kα X-rays.

Crystal structure
```
NiSnRh4
1.0
7.2586 0.0000 0.0000
0.0000 4.1842 0.0000
-2.4302 0.0000 6.4421
Ni Sn Rh
2 2 8
direct
0.0000 0.0000 0.0000 Ni
0.5000 0.5000 0.0000 Ni
0.0000 0.5000 0.5000 Sn
0.5000 0.0000 0.5000 Sn
0.1362 0.5000 0.9086 Rh
0.2253 0.0000 0.6743 Rh
0.2747 0.5000 0.3257 Rh
0.3638 0.0000 0.0914 Rh
0.6362 0.0000 0.9086 Rh
0.7253 0.5000 0.6743 Rh
0.7747 0.0000 0.3257 Rh
0.8638 0.5000 0.0914 Rh
```

Main lines, in order of rising 2θ (2θ = 15–90°):
| 2θ (°) | I_rel |
| --- | --- |
| 24.98 | 30.2 |
| 30.83 | 16.2 |
| 33.89 | 17.9 |
| 41.09 | 62.6 |
| 43.21 | 100.0 |
| 45.09 | 43.7 |
| 61.15 | 19.4 |
| 73.39 | 13.2 |
| 77.85 | 12.9 |
| 79.28 | 11.0 |